This entry pairs a crystal structure of K2SbPdCl6 with its theoretical powder diffraction line list. Radiation: Cu Kα, 1.54184 Å. Structure: a DFT-relaxed cell (GGA-PBE, Alexandria).
Kinematic intensities with the Lorentz-polarization factor, no thermal factor.

Top 8 peaks for 2θ from 5° to 70°, sorted by position:
2θ 17.00, I = 100; 2θ 24.13, I = 99; 2θ 34.39, I = 96; 2θ 38.60, I = 49; 2θ 42.45, I = 44; 2θ 49.42, I = 62; 2θ 52.64, I = 25; 2θ 67.15, I = 22

Atomic structure:
Unit cell a=10.4254 b=10.4324 c=7.3757 alpha=90.00 beta=134.95 gamma=90.00
Space group Cm (No. 8)
Unique sites:
1 K 0.0000 0.2490 0.0000 [4 per cell]
2 Sb 0.4912 0.5000 0.4811 [2 per cell]
3 Pd 0.4910 0.0000 0.4807 [2 per cell]
4 Cl 0.2362 0.5000 0.4795 [2 per cell]
5 Cl 0.2379 0.5000 0.9738 [2 per cell]
6 Cl 0.2441 0.0000 0.4785 [2 per cell]
7 Cl 0.2440 0.0000 0.9877 [2 per cell]
8 Cl 0.4904 0.2460 0.4786 [4 per cell]

This entry pairs a crystal structure of Tb3Pr4Sm with its theoretical powder diffraction line list. Radiation: Cu Kα, 1.54184 Å. Structure: a DFT-relaxed cell (GGA-PBE, Alexandria).
Kinematic intensities with the Lorentz-polarization factor, no thermal factor.

Top 8 peaks for 2θ from 5° to 70°, sorted by position:
2θ 27.98, I = 23; 2θ 30.34, I = 25; 2θ 31.91, I = 100; 2θ 41.74, I = 16; 2θ 49.56, I = 13; 2θ 54.91, I = 22; 2θ 59.22, I = 15; 2θ 60.07, I = 11

Atomic structure:
Unit cell a=11.7835 b=7.3765 c=6.3667 alpha=90.00 beta=90.00 gamma=90.00
Space group Pmn2_1 (No. 31)
Unique sites:
1 Tb 0.0000 0.1208 0.0000 [2 per cell]
2 Tb 0.2499 0.1214 0.3324 [4 per cell]
3 Pr 0.0000 0.3715 0.4964 [2 per cell]
4 Pr 0.0000 0.6285 0.0011 [2 per cell]
5 Pr 0.2482 0.3727 0.8343 [4 per cell]
6 Sm 0.0000 0.8771 0.5013 [2 per cell]

This entry pairs a crystal structure of Ce4Bi5 with its theoretical powder diffraction line list. Radiation: Cu Kα, 1.54184 Å. Structure: a DFT-relaxed cell (GGA-PBE, Alexandria).
Kinematic intensities with the Lorentz-polarization factor, no thermal factor.

Top 8 peaks for 2θ from 5° to 70°, sorted by position:
2θ 30.70, I = 100; 2θ 34.41, I = 33; 2θ 37.87, I = 16; 2θ 45.22, I = 7; 2θ 49.45, I = 9; 2θ 52.09, I = 20; 2θ 59.34, I = 19; 2θ 63.96, I = 21

Atomic structure:
Unit cell a=11.0590 b=11.0590 c=4.7510 alpha=90.00 beta=90.00 gamma=90.00
Space group I4/mmm (No. 139)
Unique sites:
1 Ce 0.1714 0.1714 0.0000 [8 per cell]
2 Bi 0.0000 0.0000 0.5000 [2 per cell]
3 Bi 0.0000 0.2968 0.5000 [8 per cell]

Please write out number 2 again, unchanged.
This entry pairs a crystal structure of Tb3Pr4Sm with its theoretical powder diffraction line list. Radiation: Cu Kα, 1.54184 Å. Structure: a DFT-relaxed cell (GGA-PBE, Alexandria).
Kinematic intensities with the Lorentz-polarization factor, no thermal factor.

Top 8 peaks for 2θ from 5° to 70°, sorted by position:
2θ 27.98, I = 23; 2θ 30.34, I = 25; 2θ 31.91, I = 100; 2θ 41.74, I = 16; 2θ 49.56, I = 13; 2θ 54.91, I = 22; 2θ 59.22, I = 15; 2θ 60.07, I = 11

Atomic structure:
Unit cell a=11.7835 b=7.3765 c=6.3667 alpha=90.00 beta=90.00 gamma=90.00
Space group Pmn2_1 (No. 31)
Unique sites:
1 Tb 0.0000 0.1208 0.0000 [2 per cell]
2 Tb 0.2499 0.1214 0.3324 [4 per cell]
3 Pr 0.0000 0.3715 0.4964 [2 per cell]
4 Pr 0.0000 0.6285 0.0011 [2 per cell]
5 Pr 0.2482 0.3727 0.8343 [4 per cell]
6 Sm 0.0000 0.8771 0.5013 [2 per cell]